Record 1
Calculated X-ray powder pattern of Sm6CdGe2S14 for Cu Ka, from the PBE geometry in the Materials Project.
Peak positions follow from Bragg's law for the DFT cell and can differ from measured ones.

Structure:
abc: 10.1328 10.1328 5.8064
angles: 90.00 90.00 120.00
Space group P3 (No. 143)
Unique sites:
Sm (0.0246, 0.5631, 0.0000) [3 per cell]
Sm (0.3092, 0.1040, 0.5040) [3 per cell]
Cd (0.6667, 0.3333, 0.2658) [1 per cell]
Ge (0.0000, 0.0000, 0.9210) [1 per cell]
Ge (0.3333, 0.6667, 0.4166) [1 per cell]
S (0.0000, 0.0000, 0.2986) [1 per cell]
S (0.0821, 0.8519, 0.7604) [3 per cell]
S (0.1851, 0.4365, 0.2577) [3 per cell]
S (0.3333, 0.6667, 0.7952) [1 per cell]
S (0.4067, 0.1694, 0.0352) [3 per cell]
S (0.5026, 0.4263, 0.5262) [3 per cell]

The 10 most intense peaks (2θ from 10° to 80°), most intense first:
(0 2 1), 2θ = 25.4°, rel. 100
(2 2 0), 2θ = 35.4°, rel. 42
(2 0 2), 2θ = 37.1°, rel. 40
(1 3 0), 2θ = 36.9°, rel. 35
(2 -1 1), 2θ = 23.3°, rel. 34
(3 1 1), 2θ = 40.2°, rel. 32
(1 2 0), 2θ = 26.9°, rel. 24
(1 2 2), 2θ = 41.3°, rel. 23
(0 1 1), 2θ = 18.3°, rel. 23
(1 1 2), 2θ = 35.6°, rel. 22

Record 2
Calculated X-ray powder pattern of Sm2CdGe2 for Cu Ka, from the PBE geometry in the Materials Project.
Peak positions follow from Bragg's law for the DFT cell and can differ from measured ones.

Structure:
abc: 7.430 7.430 4.326
angles: 90.00 90.00 90.00
Space group P4/mbm (No. 127)
Unique sites:
Sm (0.178, 0.322, 0.000) [4 per cell]
Cd (0.000, 0.000, 0.500) [2 per cell]
Ge (0.121, 0.621, 0.500) [4 per cell]

The 10 most intense peaks (2θ from 10° to 80°), most intense first:
(2 1 1), 2θ = 34.0°, rel. 100
(2 0 1), 2θ = 31.7°, rel. 58
(3 1 0), 2θ = 38.3°, rel. 36
(0 0 2), 2θ = 41.8°, rel. 23
(3 1 2), 2θ = 57.9°, rel. 21
(4 1 1), 2θ = 55.2°, rel. 19
(2 2 0), 2θ = 34.1°, rel. 13
(3 3 1), 2θ = 56.7°, rel. 13
(4 1 0), 2θ = 50.7°, rel. 12
(5 1 1), 2θ = 67.9°, rel. 12